# 1
Calculated powder X-ray diffraction pattern
Compound: La3YSn2S
Radiation: Cu Ka
Structure: a structure optimized by DFT (GGA-PBE)
Lines closer than 0.1° are merged.

Crystal structure
abc: 5.1465 5.3178 16.8629
angles: 90.00 90.00 90.00
Space group Immm (No. 71)
Symmetry-distinct sites (fractional):
La 0.0000 0.0000 0.0000 [2 per cell]
La 0.0000 0.5000 0.1713 [4 per cell]
Y 0.0000 0.0000 0.5000 [2 per cell]
Sn 0.0000 0.5000 0.3670 [4 per cell]
S 0.0000 0.5000 0.0000 [2 per cell]

Top 12 peaks for 2θ from 15° to 90°, by angle:
two_theta  I_rel  hkl
24.1  371  1 1 0
26.3  782  1 1 2
31.7  247  1 0 5
31.8  320  0 0 6
32.2  1000  1 1 4
33.7  457  0 2 0
34.9  418  2 0 0
47.0  380  0 2 6
47.9  202  2 0 6
49.3  313  2 2 0
59.3  177  1 3 4
59.9  207  2 2 6



# 2
Calculated powder X-ray diffraction pattern
Compound: SrLa5S8
Radiation: Cu Ka
Structure: a structure optimized by DFT (GGA-PBE)
Lines closer than 0.1° are merged.

Crystal structure
abc: 8.7832 8.7832 8.7601
angles: 90.00 90.00 90.00
Space group I-4 (No. 82)
Symmetry-distinct sites (fractional):
Sr 0.0000 0.0000 0.0000 [2 per cell]
La 0.0000 0.5000 0.7500 [2 per cell]
La 0.1275 0.7503 0.3715 [8 per cell]
S 0.0737 0.6716 0.0500 [8 per cell]
S 0.0760 0.8224 0.6938 [8 per cell]

Top 12 peaks for 2θ from 15° to 90°, by angle:
two_theta  I_rel  hkl
24.9  947  2 1 1
32.3  1000  1 3 0
38.4  627  1 2 3
46.2  271  4 0 2
46.3  128  2 0 4
48.7  259  3 2 3
51.0  91  4 2 2
53.2  288  3 1 4
65.5  248  1 6 1
65.7  127  1 1 6
69.4  103  1 5 4
80.4  159  7 2 1



# 3
Calculated powder X-ray diffraction pattern
Compound: La5Tb3S8
Radiation: Cu Ka
Structure: a structure optimized by DFT (GGA-PBE)
Lines closer than 0.1° are merged.

Crystal structure
abc: 8.1269 8.1269 20.0297
angles: 90.00 90.00 120.00
Space group R-3m (No. 166, hexagonal axes)
Symmetry-distinct sites (fractional):
La 0.0000 0.0000 0.0000 [3 per cell]
La 0.0000 0.0000 0.5000 [3 per cell]
La 0.0000 0.5000 0.0000 [9 per cell]
Tb 0.0000 0.5000 0.5000 [9 per cell]
S 0.0000 0.0000 0.2438 [6 per cell]
S 0.0087 0.5044 0.7544 [18 per cell]

Top 12 peaks for 2θ from 15° to 90°, by angle:
two_theta  I_rel  hkl
26.7  190  0 0 6
26.9  556  2 0 2
31.1  1000  0 2 4
44.4  362  2 0 8
44.6  361  2 2 0
52.6  96  0 2 10
52.8  280  2 2 6
55.3  188  4 0 4
64.8  115  0 4 8
73.4  158  2 2 12
73.7  159  2 4 4
82.0  120  4 2 8



# 4
Calculated powder X-ray diffraction pattern
Compound: LaTbS3
Radiation: Cu Ka
Structure: a structure optimized by DFT (GGA-PBE)
Lines closer than 0.1° are merged.

Crystal structure
abc: 7.9310 4.0253 7.9884
angles: 90.00 94.77 90.00
Space group P2_1/m (No. 11)
Symmetry-distinct sites (fractional):
La 0.2288 0.2500 0.3763 [2 per cell]
Tb 0.3257 0.2500 0.8524 [2 per cell]
S 0.0248 0.2500 0.6816 [2 per cell]
S 0.3200 0.7500 0.0933 [2 per cell]
S 0.3868 0.7500 0.6273 [2 per cell]

Top 12 peaks for 2θ from 15° to 90°, by angle:
two_theta  I_rel  hkl
22.5  473  2 0 0
24.2  451  1 0 -2
24.8  943  1 1 0
25.9  335  1 0 2
31.6  1000  0 1 2
33.0  277  1 1 -2
38.0  272  2 1 -2
40.3  423  2 1 2
41.8  363  3 1 -1
45.0  266  0 2 0
45.6  325  0 0 4
46.5  221  4 0 -1



# 5
Calculated powder X-ray diffraction pattern
Compound: LaTb2S3
Radiation: Cu Ka
Structure: a structure optimized by DFT (GGA-PBE)
Lines closer than 0.1° are merged.

Crystal structure
abc: 3.9821 5.6815 12.0503
angles: 90.00 90.00 90.00
Space group Immm (No. 71)
Symmetry-distinct sites (fractional):
La 0.0000 0.0000 0.0000 [2 per cell]
Tb 0.0000 0.0000 0.3366 [4 per cell]
S 0.0000 0.5000 0.0000 [2 per cell]
S 0.0000 0.5000 0.3234 [4 per cell]

Top 12 peaks for 2θ from 15° to 90°, by angle:
two_theta  I_rel  hkl
27.2  592  0 1 3
27.3  582  1 1 0
31.5  510  0 2 0
31.6  1000  1 0 3
45.1  180  0 0 6
45.2  728  1 2 3
45.6  179  2 0 0
53.6  390  1 1 6
53.9  191  2 1 3
56.1  187  0 2 6
56.4  188  2 2 0
74.8  243  1 4 3



# 6
Calculated powder X-ray diffraction pattern
Compound: LaTbTm4S8
Radiation: Cu Ka
Structure: a structure optimized by DFT (GGA-PBE)
Lines closer than 0.1° are merged.

Crystal structure
abc: 8.0331 8.0331 19.8041
angles: 90.00 90.00 120.00
Space group R3m (No. 160, hexagonal axes)
Symmetry-distinct sites (fractional):
La 0.0000 0.0000 0.0000 [3 per cell]
Tb 0.0000 0.0000 0.3751 [3 per cell]
Tm 0.0000 0.0000 0.7486 [3 per cell]
Tm 0.1679 0.3359 0.2070 [9 per cell]
S 0.0000 0.0000 0.1383 [3 per cell]
S 0.0000 0.0000 0.6168 [3 per cell]
S 0.0141 0.5071 0.1282 [9 per cell]
S 0.1830 0.3660 0.9513 [9 per cell]

Top 12 peaks for 2θ from 15° to 90°, by angle:
two_theta  I_rel  hkl
22.1  334  1 0 4
25.9  1000  1 1 3
26.0  351  0 2 1
27.2  157  2 0 2
31.4  272  0 2 4
41.2  375  0 2 7
41.3  201  0 3 3
44.9  385  2 0 8
45.1  384  2 2 0
52.8  147  4 0 1
62.8  162  4 1 3
83.2  124  4 2 8



# 7
Calculated powder X-ray diffraction pattern
Compound: LaTb2YS4
Radiation: Cu Ka
Structure: a structure optimized by DFT (GGA-PBE)
Lines closer than 0.1° are merged.

Crystal structure
abc: 5.6389 5.6389 11.2703
angles: 90.00 90.00 90.00
Space group I4/mmm (No. 139)
Symmetry-distinct sites (fractional):
La 0.0000 0.0000 0.0000 [2 per cell]
Tb 0.0000 0.5000 0.2500 [4 per cell]
Y 0.0000 0.0000 0.5000 [2 per cell]
S 0.0000 0.0000 0.2565 [4 per cell]
S 0.0000 0.5000 0.0000 [4 per cell]

Top 12 peaks for 2θ from 15° to 90°, by angle:
two_theta  I_rel  hkl
15.7  28  0 0 2
17.6  21  1 0 1
22.3  26  1 1 0
27.4  699  1 1 2
31.7  1000  2 0 0
45.5  717  2 2 0
53.9  344  1 1 6
56.5  247  2 2 4
66.3  114  4 0 0
73.2  138  3 1 6
75.4  314  4 2 0
84.1  240  4 2 4



# 8
Calculated powder X-ray diffraction pattern
Compound: La4Tb3YS8
Radiation: Cu Ka
Structure: a structure optimized by DFT (GGA-PBE)
Lines closer than 0.1° are merged.

Crystal structure
abc: 8.0339 8.0339 20.0158
angles: 90.00 90.00 120.00
Space group R-3m (No. 166, hexagonal axes)
Symmetry-distinct sites (fractional):
La 0.0000 0.0000 0.0000 [3 per cell]
La 0.0000 0.5000 0.0000 [9 per cell]
Tb 0.0000 0.5000 0.5000 [9 per cell]
Y 0.0000 0.0000 0.5000 [3 per cell]
S 0.0000 0.0000 0.2437 [6 per cell]
S 0.0005 0.5002 0.2436 [18 per cell]

Top 12 peaks for 2θ from 15° to 90°, by angle:
two_theta  I_rel  hkl
26.7  188  0 0 6
27.1  533  2 0 2
31.3  1000  0 2 4
44.6  362  2 0 8
45.1  356  2 2 0
52.8  95  0 2 10
53.2  179  2 2 6
56.0  185  4 0 4
65.3  114  0 4 8
73.9  156  2 2 12
74.6  157  2 4 4
83.0  118  4 2 8



# 9
Calculated powder X-ray diffraction pattern
Compound: La5Te4S
Radiation: Cu Ka
Structure: a structure optimized by DFT (GGA-PBE)
Lines closer than 0.1° are merged.

Crystal structure
abc: 4.5002 4.5002 32.0127
angles: 90.00 90.00 90.00
Space group I4/mmm (No. 139)
Symmetry-distinct sites (fractional):
La 0.0000 0.0000 0.0000 [2 per cell]
La 0.0000 0.0000 0.2043 [4 per cell]
La 0.0000 0.0000 0.4107 [4 per cell]
Te 0.0000 0.0000 0.1010 [4 per cell]
Te 0.0000 0.0000 0.3059 [4 per cell]
S 0.0000 0.0000 0.5000 [2 per cell]

Top 12 peaks for 2θ from 15° to 90°, by angle:
two_theta  I_rel  hkl
27.9  465  0 0 10
28.0  1000  1 1 0
32.1  131  1 0 9
39.9  662  1 1 10
40.1  381  2 0 0
49.5  366  2 0 10
58.0  128  2 2 0
65.2  97  1 1 20
65.5  154  2 2 10
65.6  175  3 1 0
72.7  222  3 1 10
73.3  86  2 1 19



# 10
Calculated powder X-ray diffraction pattern
Compound: LaTe2S6
Radiation: Cu Ka
Structure: a structure optimized by DFT (GGA-PBE)
Lines closer than 0.1° are merged.

Crystal structure
abc: 7.8859 8.5633 9.2797
angles: 71.39 67.69 87.47
Space group P-1 (No. 2)
Symmetry-distinct sites (fractional):
La 0.1945 0.3903 0.2308 [2 per cell]
Te 0.2692 0.9235 0.2444 [2 per cell]
Te 0.3704 0.7583 0.7487 [2 per cell]
S 0.0615 0.1043 0.1720 [2 per cell]
S 0.0999 0.6629 0.4270 [2 per cell]
S 0.1154 0.4863 0.9027 [2 per cell]
S 0.3030 0.0612 0.4272 [2 per cell]
S 0.4354 0.7030 0.9928 [2 per cell]
S 0.4595 0.4325 0.3675 [2 per cell]

Top 12 peaks for 2θ from 15° to 90°, by angle:
two_theta  I_rel  hkl
17.8  363  0 1 -1
19.3  586  1 0 -1
21.1  374  0 2 1
21.9  988  0 0 2
25.3  552  1 2 2
25.8  523  2 0 2
26.1  628  1 2 0
27.8  398  2 1 0
32.8  1000  1 2 -1
33.3  673  1 3 1
34.3  679  -2 2 1
39.8  592  2 1 4



# 11
Calculated powder X-ray diffraction pattern
Compound: LaTh3S4
Radiation: Cu Ka
Structure: a structure optimized by DFT (GGA-PBE)
Lines closer than 0.1° are merged.

Crystal structure
abc: 8.0712 11.4922 4.1026
angles: 90.00 90.00 90.00
Space group Cmmm (No. 65)
Symmetry-distinct sites (fractional):
La 0.0000 0.0000 0.0000 [2 per cell]
Th 0.0000 0.5000 0.0000 [2 per cell]
Th 0.2500 0.2500 0.5000 [4 per cell]
S 0.0000 0.2516 0.0000 [4 per cell]
S 0.2465 0.5000 0.5000 [4 per cell]

Top 12 peaks for 2θ from 15° to 90°, by angle:
two_theta  I_rel  hkl
26.7  491  0 2 1
27.0  478  2 2 0
31.1  1000  2 0 1
44.2  127  0 0 2
44.6  495  2 4 1
44.9  121  4 0 0
52.5  167  2 2 2
53.0  163  4 2 1
55.0  133  0 4 2
55.7  129  4 4 0
64.8  122  4 0 2
73.7  226  4 4 2



# 12
Calculated powder X-ray diffraction pattern
Compound: LaThS4
Radiation: Cu Ka
Structure: a structure optimized by DFT (GGA-PBE)
Lines closer than 0.1° are merged.

Crystal structure
abc: 7.0046 7.0046 12.4772
angles: 90.00 90.00 90.00
Space group I4_1/amd (No. 141, origin choice 2)
Symmetry-distinct sites (fractional):
La 0.0000 0.2500 0.3750 [4 per cell]
Th 0.0000 0.2500 0.8750 [4 per cell]
S 0.2418 0.0000 0.0000 [16 per cell]

Top 12 peaks for 2θ from 15° to 90°, by angle:
two_theta  I_rel  hkl
22.9  1000  1 1 2
25.4  145  2 0 0
36.3  289  2 2 0
38.7  483  2 0 4
43.3  381  3 1 2
47.4  160  1 1 6
52.2  99  4 0 0
57.8  83  3 3 2
61.1  139  3 1 6
66.8  188  4 2 4
70.1  93  5 1 2
71.5  78  2 2 8



# 13
Calculated powder X-ray diffraction pattern
Compound: LaThS2
Radiation: Cu Ka
Structure: a structure optimized by DFT (GGA-PBE)
Lines closer than 0.1° are merged.

Crystal structure
abc: 4.0023 4.0023 14.0910
angles: 90.00 90.00 120.00
Space group P6_3/mmc (No. 194)
Symmetry-distinct sites (fractional):
La 0.0000 0.0000 0.0000 [2 per cell]
Th 0.3333 0.6667 0.2500 [2 per cell]
S 0.3333 0.6667 0.6265 [4 per cell]

Top 12 peaks for 2θ from 15° to 90°, by angle:
two_theta  I_rel  hkl
25.3  309  0 0 4
26.5  439  1 0 1
28.7  1000  1 0 2
32.1  655  1 0 3
41.3  337  1 0 5
45.3  420  1 1 0
46.7  261  1 0 6
52.6  352  1 1 4
54.5  169  2 0 2
71.3  218  1 1 8
72.4  134  1 0 10
73.5  140  2 1 2